Diffraction record for MgMn6O10F2. The XRD peak list is calculated, not measured: it uses a crystal structure in the Materials Project, relaxed with PBE+U and Cu Ka.

The 10 most intense peaks (10 to 80 degrees two-theta), by angle:
two_theta	intensity	(hkl)
22.87	100.0	-1 1 1
27.86	68.0	1 1 -1
35.45	59.4	1 0 2
35.69	13.6	0 2 0
36.05	14.4	2 -1 1
49.83	12.5	3 -2 0
54.40	14.4	1 2 -4
57.56	13.8	2 2 -2
63.46	13.4	2 -2 4
63.95	19.7	1 -4 2

Structural model:
```
MgMn6O10F2
1.0
5.7108 0.0000 0.0000
-2.3058 5.4301 0.0000
-1.3289 -2.8673 7.0682
Mg Mn O F
1 6 10 2
direct
0.0000 0.0000 0.0000 Mg
0.0003 0.5005 0.0006 Mn
0.0009 0.9995 0.4999 Mn
0.3202 0.5569 0.3782 Mn
0.3694 0.9876 0.8222 Mn
0.6313 0.0129 0.1784 Mn
0.6815 0.4425 0.6221 Mn
0.0305 0.6935 0.8295 O
0.2359 0.8409 0.5578 O
0.3042 0.3083 0.5003 O
0.3559 0.7025 0.1768 O
0.4148 0.1456 0.0934 O
0.5858 0.8549 0.9074 O
0.6448 0.2982 0.8241 O
0.6976 0.6900 0.4989 O
0.7662 0.1589 0.4429 O
0.9704 0.3068 0.1711 O
0.1102 0.1711 0.8167 F
0.8905 0.8282 0.1832 F
```